Structure and theoretical powder X-ray diffraction pattern of Hf2Zn3Hg (a DFT-relaxed cell (PBE, OQMD); Cu Ka).

Atomic structure:
a = 3.221 Å, b = 3.221 Å, c = 10.166 Å
α = 90.00°, β = 90.00°, γ = 90.00°
Fractional positions:
Hf (0.000, 0.000, 0.000)
Hf (0.500, 0.500, 0.477)
Zn (0.000, 0.000, 0.306)
Zn (0.500, 0.500, 0.173)
Zn (0.500, 0.500, 0.834)
Hg (0.000, 0.000, 0.671)

Most intense lines, 2θ = 10–80°, by angle:
2θ 29.08, 3.071 Å, I = 17; 2θ 38.56, 2.335 Å, I = 100; 2θ 39.56, 2.278 Å, I = 49; 2θ 57.19, 1.611 Å, I = 17; 2θ 69.08, 1.360 Å, I = 18; 2θ 71.11, 1.326 Å, I = 33